Diffraction record for NaSbP2S6. The X-ray diffraction stick pattern is simulated, not measured: it uses a DFT-relaxed cell (GGA-PBE, Alexandria) and CuKα.

Most intense lines, 2θ = 10–90°, low angle first:
d [Å]  2θ/deg  intensity
5.535  16.01  93
5.038  17.60  100
4.383  20.26  85
3.607  24.69  97
2.929  30.52  64
2.857  31.30  62
2.769  32.33  91
2.718  32.96  87
2.632  34.07  68
2.419  37.16  61

Crystal structure
```
NaSbP2S6
1.0
6.605 0.000 0.000
0.000 7.802 0.000
-0.443 0.000 9.464
Na Sb P S
2 2 4 12
direct
0.188 0.000 0.010
0.812 0.500 0.990
0.316 0.706 0.481
0.684 0.206 0.519
0.192 0.293 0.318
0.314 0.504 0.181
0.686 0.004 0.819
0.808 0.793 0.682
0.069 0.706 0.770
0.101 0.690 0.197
0.162 0.408 0.516
0.374 0.404 0.997
0.408 0.101 0.326
0.437 0.079 0.692
0.563 0.579 0.308
0.592 0.601 0.674
0.626 0.904 0.003
0.838 0.908 0.484
0.899 0.190 0.803
0.931 0.206 0.230
```

---

Diffraction record for SiSnPdPb2. The X-ray diffraction stick pattern is simulated, not measured: it uses a DFT-relaxed cell (GGA-PBE, Alexandria) and CuKα.

Most intense lines, 2θ = 10–90°, low angle first:
d [Å]  2θ/deg  intensity
5.253  16.88  62
3.941  22.56  35
3.287  27.13  100
2.980  29.99  96
2.626  34.14  34
2.592  34.61  46
2.107  42.92  37
1.970  46.07  60
1.774  51.52  35
1.644  55.95  34

Crystal structure
```
SiSnPdPb2
1.0
5.960 0.000 0.000
0.000 5.960 0.000
0.000 0.000 5.253
Si Sn Pd Pb
1 1 1 2
direct
0.000 0.000 0.000
0.000 0.000 0.500
0.500 0.500 0.000
0.000 0.500 0.500
0.500 0.000 0.500
```

---

Diffraction record for MnSeSN. The X-ray diffraction stick pattern is simulated, not measured: it uses a DFT-relaxed cell (GGA-PBE, Alexandria) and CuKα.

Most intense lines, 2θ = 10–90°, low angle first:
d [Å]  2θ/deg  intensity
6.306  14.04  100
3.496  25.48  46
3.305  26.98  79
2.858  31.30  20
2.699  33.20  62
2.534  35.43  38
2.071  43.70  28
2.011  45.09  22
1.953  46.51  19
1.608  57.29  19

Crystal structure
```
MnSeSN
1.0
3.393 0.000 0.000
-0.631 3.547 0.000
-1.088 -1.088 6.306
Mn Se S N
1 1 1 1
direct
0.000 0.000 0.000
0.386 0.910 0.728
0.682 0.301 0.238
0.925 0.524 0.079
```

---

Diffraction record for AlPb2Au3. The X-ray diffraction stick pattern is simulated, not measured: it uses a DFT-relaxed cell (GGA-PBE, Alexandria) and CuKα.

Most intense lines, 2θ = 10–90°, low angle first:
d [Å]  2θ/deg  intensity
3.239  27.54  47
2.902  30.81  39
2.806  31.89  70
2.701  33.17  40
2.682  33.42  100
2.623  34.19  38
2.434  36.93  26
2.329  38.66  85
2.234  40.38  51
1.969  46.09  35

Crystal structure
```
AlPb2Au3
1.0
7.380 -3.206 0.000
7.380 3.206 0.000
0.000 0.000 5.804
Al Pb Au
2 4 6
direct
0.177 0.823 0.500
0.823 0.177 0.000
0.189 0.450 0.174
0.450 0.189 0.674
0.550 0.811 0.174
0.811 0.550 0.674
0.057 0.182 0.309
0.182 0.057 0.809
0.443 0.557 0.856
0.557 0.443 0.356
0.818 0.943 0.309
0.943 0.818 0.809
```

---

Diffraction record for NbPb. The X-ray diffraction stick pattern is simulated, not measured: it uses a DFT-relaxed cell (GGA-PBE, Alexandria) and CuKα.

Most intense lines, 2θ = 10–90°, low angle first:
d [Å]  2θ/deg  intensity
3.183  28.03  100
2.668  33.59  54
2.479  36.24  42
2.438  36.87  26
2.425  37.08  22
2.290  39.35  40
2.269  39.73  36
2.192  41.18  32
1.714  53.46  18
1.415  66.01  26

Crystal structure
```
NbPb
1.0
3.428 0.000 0.000
-1.685 5.175 0.000
-1.681 -1.580 5.277
Nb Pb
2 2
direct
0.090 0.297 0.384
0.910 0.703 0.616
0.246 0.788 0.189
0.754 0.212 0.811
```

---

Diffraction record for Pm6Dy3Ho. The X-ray diffraction stick pattern is simulated, not measured: it uses a DFT-relaxed cell (GGA-PBE, Alexandria) and CuKα.

Most intense lines, 2θ = 10–90°, low angle first:
d [Å]  2θ/deg  intensity
3.175  28.11  35
3.145  28.38  63
3.126  28.55  43
3.010  29.68  28
2.864  31.24  100
2.841  31.49  55
2.747  32.60  26
2.651  33.81  32
2.640  33.96  68
1.827  49.93  31

Crystal structure
```
Pm6Dy3Ho
1.0
5.486 -9.628 0.000
5.486 9.628 0.000
0.000 0.000 6.342
Pm Dy Ho
12 6 2
direct
0.037 0.963 0.500
0.057 0.477 0.025
0.279 0.721 0.739
0.289 0.374 0.839
0.374 0.289 0.339
0.477 0.057 0.525
0.523 0.943 0.025
0.626 0.711 0.839
0.711 0.626 0.339
0.721 0.279 0.239
0.943 0.523 0.525
0.963 0.037 0.000
0.055 0.284 0.422
0.284 0.055 0.922
0.386 0.614 0.308
0.614 0.386 0.808
0.716 0.945 0.422
0.945 0.716 0.922
0.196 0.804 0.271
0.804 0.196 0.771
```